1.
Theoretical powder XRD pattern of Pr4AlAg2 for a wavelength of 1.5418 Å, from a DFT-relaxed cell (PBE, Alexandria).
Peak positions follow from Bragg's law for the DFT cell and can differ from measured ones.

Structural model:
Cell lengths 9.293, 13.023, 14.750 Å; angles 90.00, 90.00, 90.00 degrees
Space group Fddd (No. 70, origin choice 2)
Asymmetric unit:
Pr 0.071 0.269 0.455
Al 0.125 0.125 0.625
Ag 0.000 0.000 0.000

The 6 most intense peaks (2θ = 10–80°), sorted by position:
| hkl | d (Å) | intensity |
| --- | --- | --- |
| 0 0 4 | 3.688 | 47 |
| 0 4 0 | 3.256 | 85 |
| 1 3 3 | 3.071 | 39 |
| 3 1 1 | 2.953 | 100 |
| 1 1 5 | 2.748 | 55 |
| 0 4 4 | 2.441 | 35 |

2.
Theoretical powder XRD pattern of Tl8Bi2Pb3 for a wavelength of 1.5418 Å, from a DFT-relaxed cell (PBE, Alexandria).
Peak positions follow from Bragg's law for the DFT cell and can differ from measured ones.

Structural model:
Cell lengths 13.871, 9.417, 6.981 Å; angles 90.00, 101.43, 90.00 degrees
Space group C2/m (No. 12)
Asymmetric unit:
Tl 0.075 0.000 0.337
Tl 0.124 0.196 0.961
Tl 0.222 0.500 0.282
Bi 0.183 0.500 0.732
Pb 0.000 0.315 0.500
Pb 0.000 0.500 0.000

The 6 most intense peaks (2θ = 10–80°), sorted by position:
| hkl | d (Å) | intensity |
| --- | --- | --- |
| 3 1 -2 | 2.889 | 100 |
| 2 0 2 | 2.839 | 84 |
| 0 2 2 | 2.768 | 79 |
| 1 3 1 | 2.747 | 68 |
| 4 2 -1 | 2.712 | 75 |
| 5 1 0 | 2.612 | 63 |

3.
Theoretical powder XRD pattern of Pm2Cu4Se5 for a wavelength of 1.5418 Å, from a DFT-relaxed cell (PBE, Alexandria).
Peak positions follow from Bragg's law for the DFT cell and can differ from measured ones.

Structural model:
Cell lengths 4.0579, 4.0579, 50.4324 Å; angles 90.00, 90.00, 120.00 degrees
Space group R-3m (No. 166, hexagonal axes)
Asymmetric unit:
Pm 0.0000 0.0000 0.1311
Cu 0.0000 0.0000 0.3141
Cu 0.0000 0.0000 0.4137
Se 0.0000 0.0000 0.2382
Se 0.0000 0.0000 0.3656
Se 0.0000 0.0000 0.5000

The 6 most intense peaks (2θ = 10–80°), sorted by position:
| hkl | d (Å) | intensity |
| --- | --- | --- |
| 0 1 8 | 3.070 | 69 |
| 0 1 11 | 2.789 | 90 |
| 1 0 16 | 2.346 | 43 |
| 1 1 0 | 2.029 | 100 |
| 1 0 22 | 1.920 | 43 |
| 2 0 11 | 1.642 | 44 |

4.
Theoretical powder XRD pattern of Ga2S3O12 for a wavelength of 1.5418 Å, from a DFT-relaxed cell (PBE, Alexandria).
Peak positions follow from Bragg's law for the DFT cell and can differ from measured ones.

Structural model:
Cell lengths 8.2030, 8.2030, 22.2458 Å; angles 90.00, 90.00, 120.00 degrees
Space group R-3 (No. 148, hexagonal axes)
Asymmetric unit:
Ga 0.0000 0.0000 0.1445
Ga 0.0000 0.0000 0.3488
S 0.0014 0.7098 0.7496
O 0.0135 0.2088 0.1928
O 0.0357 0.8303 0.0898
O 0.0816 0.8574 0.4005
O 0.0828 0.8555 0.7016

The 6 most intense peaks (2θ = 10–80°), sorted by position:
| hkl | d (Å) | intensity |
| --- | --- | --- |
| 0 1 2 | 5.987 | 66 |
| 1 0 4 | 4.379 | 79 |
| 1 1 0 | 4.101 | 33 |
| 1 1 3 | 3.589 | 100 |
| 0 2 4 | 2.994 | 56 |
| 2 -1 6 | 2.750 | 70 |

5.
Theoretical powder XRD pattern of AcScCu10 for a wavelength of 1.5418 Å, from a DFT-relaxed cell (PBE, Alexandria).
Peak positions follow from Bragg's law for the DFT cell and can differ from measured ones.

Structural model:
Cell lengths 4.123, 5.081, 8.822 Å; angles 90.00, 90.00, 90.00 degrees
Space group Pmmm (No. 47)
Asymmetric unit:
Ac 0.000 0.000 0.000
Sc 0.000 0.500 0.500
Cu 0.000 0.000 0.348
Cu 0.000 0.500 0.188
Cu 0.500 0.000 0.500
Cu 0.500 0.257 0.263
Cu 0.500 0.500 0.000

The 6 most intense peaks (2θ = 10–80°), sorted by position:
| hkl | d (Å) | intensity |
| --- | --- | --- |
| 1 1 1 | 3.010 | 39 |
| 0 2 0 | 2.543 | 27 |
| 0 0 4 | 2.203 | 34 |
| 1 2 0 | 2.165 | 100 |
| 2 0 0 | 2.062 | 29 |
| 2 0 4 | 1.505 | 20 |

6.
Theoretical powder XRD pattern of CaPaSb2 for a wavelength of 1.5418 Å, from a DFT-relaxed cell (PBE, Alexandria).
Peak positions follow from Bragg's law for the DFT cell and can differ from measured ones.

Structural model:
Cell lengths 4.4149, 4.4149, 22.6992 Å; angles 90.00, 90.00, 120.00 degrees
Space group R3m (No. 160, hexagonal axes)
Asymmetric unit:
Ca 0.0000 0.0000 0.0000
Pa 0.0000 0.0000 0.1715
Sb 0.0000 0.0000 0.5819
Sb 0.0000 0.0000 0.7585

The 6 most intense peaks (2θ = 10–80°), sorted by position:
| hkl | d (Å) | intensity |
| --- | --- | --- |
| 0 0 3 | 7.566 | 54 |
| 0 1 2 | 3.623 | 73 |
| 0 1 5 | 2.924 | 100 |
| 1 0 7 | 2.473 | 49 |
| 1 1 0 | 2.207 | 52 |
| 1 1 12 | 1.436 | 24 |

7.
Theoretical powder XRD pattern of Dy2Ga4Pt3Au for a wavelength of 1.5418 Å, from a DFT-relaxed cell (PBE, Alexandria).
Peak positions follow from Bragg's law for the DFT cell and can differ from measured ones.

Structural model:
Cell lengths 4.193, 4.193, 10.836 Å; angles 90.00, 90.00, 90.00 degrees
Space group P-4m2 (No. 115)
Asymmetric unit:
Dy 0.000 0.500 0.242
Ga 0.000 0.000 0.000
Ga 0.000 0.500 0.638
Ga 0.500 0.500 0.000
Pt 0.000 0.500 0.864
Pt 0.500 0.500 0.500
Au 0.000 0.000 0.500

The 6 most intense peaks (2θ = 10–80°), sorted by position:
| hkl | d (Å) | intensity |
| --- | --- | --- |
| 1 1 1 | 2.860 | 25 |
| 1 0 3 | 2.737 | 48 |
| 1 1 2 | 2.601 | 100 |
| 2 0 0 | 2.097 | 60 |
| 1 1 4 | 2.000 | 29 |
| 1 0 5 | 1.925 | 30 |

8.
Theoretical powder XRD pattern of B2H6Cl for a wavelength of 1.5418 Å, from a DFT-relaxed cell (PBE, Alexandria).
Peak positions follow from Bragg's law for the DFT cell and can differ from measured ones.

Structural model:
Cell lengths 3.228, 4.704, 6.009 Å; angles 110.70, 96.96, 95.10 degrees
Space group P-1 (No. 2)
Asymmetric unit:
B 0.249 0.059 0.457
H 0.063 0.176 0.666
H 0.250 0.243 0.363
H 0.431 0.815 0.323
Cl 0.500 0.500 0.000

The 6 most intense peaks (2θ = 10–80°), sorted by position:
| hkl | d (Å) | intensity |
| --- | --- | --- |
| 0 1 -1 | 4.275 | 100 |
| 1 0 0 | 3.172 | 18 |
| 0 1 1 | 2.940 | 30 |
| 0 0 2 | 2.772 | 20 |
| 1 -1 0 | 2.757 | 19 |
| 1 1 -1 | 2.531 | 16 |

9.
Theoretical powder XRD pattern of Hf5Pb2 for a wavelength of 1.5418 Å, from a DFT-relaxed cell (PBE, Alexandria).
Peak positions follow from Bragg's law for the DFT cell and can differ from measured ones.

Structural model:
Cell lengths 4.257, 36.201, 4.259 Å; angles 90.00, 90.00, 90.00 degrees
Space group Cmcm (No. 63)
Asymmetric unit:
Hf 0.000 0.030 0.250
Hf 0.000 0.179 0.750
Hf 0.000 0.250 0.250
Hf 0.000 0.394 0.750
Hf 0.000 0.468 0.250
Pb 0.000 0.096 0.750
Pb 0.000 0.312 0.750

The 6 most intense peaks (2θ = 10–80°), sorted by position:
| hkl | d (Å) | intensity |
| --- | --- | --- |
| 1 5 1 | 2.780 | 62 |
| 0 14 0 | 2.586 | 35 |
| 1 9 1 | 2.410 | 100 |
| 2 0 0 | 2.129 | 55 |
| 2 14 0 | 1.644 | 37 |
| 3 9 1 | 1.277 | 28 |

10.
Theoretical powder XRD pattern of Tl2Cd2Hg5Pb for a wavelength of 1.5418 Å, from a DFT-relaxed cell (PBE, Alexandria).
Peak positions follow from Bragg's law for the DFT cell and can differ from measured ones.

Structural model:
Cell lengths 11.865, 11.865, 4.051 Å; angles 90.00, 90.00, 90.00 degrees
Space group P4/mbm (No. 127)
Asymmetric unit:
Tl 0.163 0.337 0.000
Cd 0.132 0.632 0.000
Hg 0.000 0.500 0.500
Hg 0.095 0.814 0.500
Pb 0.000 0.000 0.000

The 6 most intense peaks (2θ = 10–80°), sorted by position:
| hkl | d (Å) | intensity |
| --- | --- | --- |
| 4 1 0 | 2.878 | 25 |
| 3 1 1 | 2.753 | 100 |
| 4 2 0 | 2.653 | 21 |
| 3 2 1 | 2.554 | 19 |
| 0 0 2 | 2.026 | 15 |
| 7 2 1 | 1.512 | 14 |

11.
Theoretical powder XRD pattern of HoGa2Tc for a wavelength of 1.5418 Å, from a DFT-relaxed cell (PBE, Alexandria).
Peak positions follow from Bragg's law for the DFT cell and can differ from measured ones.

Structural model:
Cell lengths 7.051, 4.264, 9.773 Å; angles 90.00, 90.00, 90.00 degrees
Space group Pnma (No. 62)
Asymmetric unit:
Ho 0.193 0.250 0.179
Ga 0.097 0.250 0.829
Ga 0.196 0.750 0.969
Tc 0.039 0.750 0.438

The 6 most intense peaks (2θ = 10–80°), sorted by position:
| hkl | d (Å) | intensity |
| --- | --- | --- |
| 1 0 3 | 2.957 | 27 |
| 2 1 1 | 2.618 | 68 |
| 1 1 3 | 2.430 | 100 |
| 2 1 2 | 2.375 | 55 |
| 3 0 1 | 2.285 | 30 |
| 0 2 0 | 2.132 | 50 |

12.
Theoretical powder XRD pattern of Sm3Tm2Th4 for a wavelength of 1.5418 Å, from a DFT-relaxed cell (PBE, Alexandria).
Peak positions follow from Bragg's law for the DFT cell and can differ from measured ones.

Structural model:
Cell lengths 6.185, 6.190, 9.426 Å; angles 71.23, 71.28, 60.21 degrees
Space group P-1 (No. 2)
Asymmetric unit:
Sm 0.000 0.000 0.000
Sm 0.443 0.114 0.668
Tm 0.223 0.558 0.332
Th 0.103 0.774 0.669
Th 0.331 0.338 0.001

The 6 most intense peaks (2θ = 10–80°), sorted by position:
| hkl | d (Å) | intensity |
| --- | --- | --- |
| 0 0 3 | 2.921 | 100 |
| 1 2 2 | 2.912 | 33 |
| 1 2 -1 | 2.533 | 45 |
| 2 1 3 | 2.517 | 22 |
| 3 0 1 | 1.791 | 24 |
| 1 2 5 | 1.783 | 16 |